Structure and simulated powder diffraction line list of LiH5SN2O4 (DFT lattice parameters and positions (PBE); Cu Kα, 1.54184 Å).
Intensities are scaled so that the largest is 100.

Atomic structure:
abc: 10.0524 9.1620 5.1373
angles: 90.00 90.00 90.00
Space group Pna2_1 (No. 33)
One atom of each set of equivalent atoms:
Li: 0.1688 0.0649 0.0000
H: 0.0143 0.5311 0.1892
H: 0.0269 0.2153 0.6586
H: 0.0564 0.2401 0.3344
H: 0.1184 0.6147 0.9842
H: 0.1569 0.3181 0.5646
S: 0.1584 0.8677 0.4978
N: 0.0217 0.5812 0.0078
N: 0.0592 0.2888 0.5173
O: 0.0105 0.8423 0.5165
O: 0.1920 0.8881 0.2149
O: 0.1944 0.0021 0.6430
O: 0.2289 0.7388 0.6027

Principal peaks in the range 2θ = 10–90°, low angle first:
4.169 Å, 2θ 21.31, rel. 54
4.093 Å, 2θ 21.71, rel. 35
3.593 Å, 2θ 24.78, rel. 43
3.237 Å, 2θ 27.56, rel. 100
3.147 Å, 2θ 28.36, rel. 50
2.569 Å, 2θ 34.93, rel. 30